Starting from a DFT-relaxed cell (PBE, Alexandria), the XRD peak list of Co4NiPt was calculated for copper Kα.
Lines closer than 0.1° are merged.

Main lines, low angle first (2θ from 15° to 90°):
| d [Å] | I (rel.) |
| --- | --- |
| 3.882 | 7 |
| 3.541 | 7 |
| 3.222 | 13 |
| 2.616 | 10 |
| 2.589 | 6 |
| 2.456 | 6 |
| 2.090 | 100 |
| 1.830 | 32 |
| 1.771 | 15 |
| 1.294 | 9 |
| 1.273 | 18 |
| 1.100 | 22 |

Structural model:
a b c (Å): 2.589 3.541 7.764
angles (deg): 90.00 90.00 90.00
Space group Pmmm (No. 47)
Unique sites:
Co (0.000, 0.000, 0.159) (multiplicity 2)
Co (0.500, 0.500, 0.314) (multiplicity 2)
Ni (0.500, 0.500, 0.000) (multiplicity 1)
Pt (0.000, 0.000, 0.500) (multiplicity 1)

Starting from a DFT-relaxed cell (PBE, Alexandria), the XRD peak list of LiDy4Ga12 was calculated for copper Kα.
Lines closer than 0.1° are merged.

Main lines, low angle first (2θ from 15° to 90°):
| d [Å] | I (rel.) |
| --- | --- |
| 4.328 | 15 |
| 3.061 | 19 |
| 2.499 | 100 |
| 2.164 | 49 |
| 1.936 | 11 |
| 1.767 | 5 |
| 1.530 | 29 |
| 1.443 | 7 |
| 1.369 | 6 |
| 1.305 | 31 |
| 1.249 | 8 |
| 1.157 | 6 |

Structural model:
a b c (Å): 8.657 8.657 8.657
angles (deg): 90.00 90.00 90.00
Space group Im-3m (No. 229)
Unique sites:
Li (0.000, 0.000, 0.000) (multiplicity 2)
Dy (0.250, 0.250, 0.250) (multiplicity 8)
Ga (0.000, 0.000, 0.295) (multiplicity 12)
Ga (0.000, 0.250, 0.500) (multiplicity 12)

Starting from a DFT-relaxed cell (PBE, Alexandria), the XRD peak list of Ba3GeP4 was calculated for copper Kα.
Lines closer than 0.1° are merged.

Main lines, low angle first (2θ from 15° to 90°):
| d [Å] | I (rel.) |
| --- | --- |
| 3.924 | 39 |
| 3.677 | 54 |
| 3.398 | 42 |
| 3.376 | 59 |
| 3.352 | 100 |
| 3.107 | 60 |
| 2.757 | 42 |
| 2.736 | 38 |
| 2.709 | 42 |
| 2.695 | 53 |
| 2.657 | 40 |
| 2.364 | 39 |

Structural model:
a b c (Å): 8.532 10.837 10.008
angles (deg): 90.00 90.00 90.00
Space group Pnma (No. 62)
Unique sites:
Ba (0.042, 0.047, 0.189) (multiplicity 8)
Ba (0.163, 0.750, 0.414) (multiplicity 4)
Ge (0.230, 0.250, 0.450) (multiplicity 4)
P (0.049, 0.750, 0.086) (multiplicity 4)
P (0.118, 0.042, 0.528) (multiplicity 8)
P (0.206, 0.750, 0.728) (multiplicity 4)

Starting from a DFT-relaxed cell (PBE, Alexandria), the XRD peak list of BeHgCl was calculated for copper Kα.
Lines closer than 0.1° are merged.

Main lines, low angle first (2θ from 15° to 90°):
| d [Å] | I (rel.) |
| --- | --- |
| 3.812 | 66 |
| 3.095 | 48 |
| 2.868 | 37 |
| 2.756 | 100 |
| 2.541 | 17 |
| 2.454 | 61 |
| 2.403 | 40 |
| 2.063 | 57 |
| 1.714 | 25 |
| 1.633 | 18 |
| 1.501 | 21 |
| 1.450 | 18 |

Structural model:
a b c (Å): 3.142 6.190 15.248
angles (deg): 90.00 90.00 90.00
Space group Fmm2 (No. 42)
Unique sites:
Be (0.000, 0.000, 0.000) (multiplicity 4)
Hg (0.000, 0.000, 0.631) (multiplicity 4)
Cl (0.000, 0.000, 0.412) (multiplicity 4)

Starting from a DFT-relaxed cell (PBE, Alexandria), the XRD peak list of YAlSe3 was calculated for copper Kα.
Lines closer than 0.1° are merged.

Main lines, low angle first (2θ from 15° to 90°):
| d [Å] | I (rel.) |
| --- | --- |
| 5.794 | 48 |
| 3.628 | 50 |
| 3.369 | 41 |
| 3.228 | 53 |
| 3.077 | 84 |
| 2.897 | 61 |
| 2.884 | 66 |
| 2.619 | 41 |
| 2.546 | 43 |
| 2.443 | 74 |
| 2.373 | 100 |
| 1.944 | 54 |

Structural model:
a b c (Å): 7.405 3.887 10.128
angles (deg): 90.00 93.61 90.00
Space group Pm (No. 6)
Unique sites:
Y (0.000, 0.000, 0.000) (multiplicity 1)
Y (0.195, 0.000, 0.628) (multiplicity 1)
Al (0.672, 0.500, 0.653) (multiplicity 1)
Al (0.857, 0.500, 0.270) (multiplicity 1)
Se (0.143, 0.500, 0.178) (multiplicity 1)
Se (0.163, 0.500, 0.833) (multiplicity 1)
Se (0.412, 0.500, 0.506) (multiplicity 1)
Se (0.679, 0.000, 0.798) (multiplicity 1)
Se (0.693, 0.000, 0.181) (multiplicity 1)
Se (0.929, 0.500, 0.510) (multiplicity 1)

Starting from a DFT-relaxed cell (PBE, Alexandria), the XRD peak list of ThPt was calculated for copper Kα.
Lines closer than 0.1° are merged.

Main lines, low angle first (2θ from 15° to 90°):
| d [Å] | I (rel.) |
| --- | --- |
| 2.858 | 100 |
| 2.816 | 40 |
| 2.716 | 12 |
| 2.384 | 15 |
| 2.322 | 69 |
| 2.238 | 29 |
| 1.966 | 20 |
| 1.752 | 20 |
| 1.612 | 15 |
| 1.477 | 16 |
| 1.384 | 11 |
| 1.308 | 27 |

Structural model:
a b c (Å): 3.932 4.476 5.964
angles (deg): 90.00 109.18 90.00
Space group P2_1/m (No. 11)
Unique sites:
Th (0.137, 0.250, 0.273) (multiplicity 2)
Pt (0.404, 0.250, 0.808) (multiplicity 2)

Starting from a DFT-relaxed cell (PBE, Alexandria), the XRD peak list of CsNpSnCl6 was calculated for copper Kα.
Lines closer than 0.1° are merged.

Main lines, low angle first (2θ from 15° to 90°):
| d [Å] | I (rel.) |
| --- | --- |
| 4.378 | 100 |
| 4.341 | 18 |
| 4.281 | 21 |
| 4.213 | 21 |
| 4.098 | 49 |
| 2.809 | 13 |
| 2.741 | 13 |
| 2.591 | 16 |
| 2.548 | 44 |
| 2.485 | 13 |
| 2.189 | 30 |
| 2.026 | 13 |

Structural model:
a b c (Å): 9.942 10.363 14.475
angles (deg): 90.00 90.00 90.00
Space group Imma (No. 74)
Unique sites:
Cs (0.000, 0.250, 0.079) (multiplicity 4)
Np (0.000, 0.000, 0.500) (multiplicity 4)
Sn (0.250, 0.250, 0.750) (multiplicity 4)
Cl (0.000, 0.250, 0.438) (multiplicity 4)
Cl (0.000, 0.250, 0.840) (multiplicity 4)
Cl (0.203, 0.040, 0.623) (multiplicity 16)

Starting from a DFT-relaxed cell (PBE, Alexandria), the XRD peak list of TbTc2N3 was calculated for copper Kα.
Lines closer than 0.1° are merged.

Main lines, low angle first (2θ from 15° to 90°):
| d [Å] | I (rel.) |
| --- | --- |
| 5.588 | 56 |
| 5.209 | 63 |
| 2.797 | 100 |
| 2.766 | 21 |
| 2.598 | 33 |
| 2.561 | 53 |
| 2.507 | 22 |
| 2.405 | 80 |
| 2.313 | 32 |
| 1.659 | 19 |
| 1.636 | 30 |
| 1.393 | 18 |

Structural model:
a b c (Å): 5.646 3.317 10.130
angles (deg): 90.00 98.23 90.00
Space group P2_1/m (No. 11)
Unique sites:
Tb (0.056, 0.250, 0.343) (multiplicity 2)
Tc (0.113, 0.750, 0.089) (multiplicity 2)
Tc (0.459, 0.250, 0.590) (multiplicity 2)
N (0.079, 0.750, 0.885) (multiplicity 2)
N (0.248, 0.750, 0.518) (multiplicity 2)
N (0.339, 0.750, 0.243) (multiplicity 2)

Starting from a DFT-relaxed cell (PBE, Alexandria), the XRD peak list of Li2Mg3Hg3 was calculated for copper Kα.
Lines closer than 0.1° are merged.

Main lines, low angle first (2θ from 15° to 90°):
| d [Å] | I (rel.) |
| --- | --- |
| 3.758 | 91 |
| 3.726 | 89 |
| 3.588 | 94 |
| 3.200 | 54 |
| 2.748 | 32 |
| 2.740 | 30 |
| 2.465 | 100 |
| 2.453 | 99 |
| 2.400 | 30 |
| 2.306 | 48 |
| 2.193 | 51 |
| 1.640 | 28 |

Structural model:
a b c (Å): 3.652 4.612 10.019
angles (deg): 77.17 79.52 89.86
Space group P-1 (No. 2)
Unique sites:
Li (0.249, 0.248, 0.004) (multiplicity 2)
Mg (0.375, 0.875, 0.744) (multiplicity 2)
Mg (0.500, 0.500, 0.500) (multiplicity 1)
Hg (0.000, 0.000, 0.500) (multiplicity 1)
Hg (0.143, 0.645, 0.212) (multiplicity 2)

Starting from a DFT-relaxed cell (PBE, Alexandria), the XRD peak list of Li4Pa3InN8 was calculated for copper Kα.
Lines closer than 0.1° are merged.

Main lines, low angle first (2θ from 15° to 90°):
| d [Å] | I (rel.) |
| --- | --- |
| 5.134 | 100 |
| 2.982 | 25 |
| 2.916 | 48 |
| 2.789 | 53 |
| 2.567 | 15 |
| 2.410 | 20 |
| 2.340 | 37 |
| 2.155 | 19 |
| 1.758 | 12 |
| 1.736 | 15 |
| 1.711 | 12 |
| 1.627 | 12 |

Structural model:
a b c (Å): 11.138 6.842 6.442
angles (deg): 90.00 120.06 90.00
Space group C2/m (No. 12)
Unique sites:
Li (0.000, 0.000, 0.000) (multiplicity 2)
Li (0.000, 0.500, 0.000) (multiplicity 2)
Li (0.250, 0.250, 0.500) (multiplicity 4)
Pa (0.000, 0.000, 0.500) (multiplicity 2)
Pa (0.250, 0.250, 0.000) (multiplicity 4)
In (0.000, 0.500, 0.500) (multiplicity 2)
N (0.012, 0.239, 0.749) (multiplicity 8)
N (0.238, 0.000, 0.760) (multiplicity 4)
N (0.250, 0.000, 0.228) (multiplicity 4)

Starting from a DFT-relaxed cell (PBE, Alexandria), the XRD peak list of Ti5Sb2P was calculated for copper Kα.
Lines closer than 0.1° are merged.

Main lines, low angle first (2θ from 15° to 90°):
| d [Å] | I (rel.) |
| --- | --- |
| 5.793 | 18 |
| 4.436 | 100 |
| 3.365 | 18 |
| 3.306 | 44 |
| 2.466 | 27 |
| 2.396 | 53 |
| 2.349 | 46 |
| 2.336 | 70 |
| 2.174 | 38 |
| 2.140 | 19 |
| 1.915 | 19 |
| 1.595 | 25 |

Structural model:
a b c (Å): 4.698 13.459 11.386
angles (deg): 90.00 90.00 90.00
Space group Cmcm (No. 63)
Unique sites:
Ti (0.000, 0.094, 0.131) (multiplicity 8)
Ti (0.000, 0.285, 0.750) (multiplicity 4)
Ti (0.000, 0.295, 0.042) (multiplicity 8)
Sb (0.000, 0.112, 0.607) (multiplicity 8)
P (0.000, 0.243, 0.250) (multiplicity 4)

Starting from a DFT-relaxed cell (PBE, Alexandria), the XRD peak list of PuNp2O11 was calculated for copper Kα.
Lines closer than 0.1° are merged.

Main lines, low angle first (2θ from 15° to 90°):
| d [Å] | I (rel.) |
| --- | --- |
| 5.246 | 18 |
| 4.091 | 32 |
| 3.937 | 32 |
| 3.915 | 23 |
| 3.572 | 100 |
| 3.468 | 35 |
| 3.285 | 16 |
| 3.113 | 20 |
| 3.016 | 23 |
| 2.622 | 23 |
| 1.958 | 19 |
| 1.904 | 15 |

Structural model:
a b c (Å): 8.094 8.099 8.106
angles (deg): 62.24 74.01 62.06
Space group P1 (No. 1)
Unique sites:
Pu (0.000, 0.000, 0.000) (multiplicity 1)
Pu (0.466, 0.501, 0.538) (multiplicity 1)
Np (0.034, 0.401, 0.469) (multiplicity 1)
Np (0.434, 0.075, 0.083) (multiplicity 1)
Np (0.548, 0.574, 0.972) (multiplicity 1)
Np (0.932, 0.902, 0.567) (multiplicity 1)
O (0.067, 0.144, 0.391) (multiplicity 1)
O (0.103, 0.198, 0.707) (multiplicity 1)
O (0.172, 0.698, 0.637) (multiplicity 1)
O (0.199, 0.144, 0.031) (multiplicity 1)
O (0.211, 0.767, 0.012) (multiplicity 1)
O (0.246, 0.142, 0.347) (multiplicity 1)
O (0.262, 0.451, 0.438) (multiplicity 1)
O (0.437, 0.332, 0.059) (multiplicity 1)
O (0.441, 0.747, 0.346) (multiplicity 1)
O (0.475, 0.270, 0.748) (multiplicity 1)
O (0.494, 0.643, 0.738) (multiplicity 1)
O (0.520, 0.833, 0.976) (multiplicity 1)
O (0.602, 0.458, 0.212) (multiplicity 1)
O (0.676, 0.959, 0.136) (multiplicity 1)
O (0.693, 0.077, 0.512) (multiplicity 1)
O (0.762, 0.402, 0.522) (multiplicity 1)
O (0.807, 0.247, 0.975) (multiplicity 1)
O (0.809, 0.638, 0.787) (multiplicity 1)
O (0.854, 0.640, 0.609) (multiplicity 1)
O (0.902, 0.952, 0.796) (multiplicity 1)
O (0.973, 0.578, 0.233) (multiplicity 1)
O (0.983, 0.901, 0.305) (multiplicity 1)